The following is a simulated powder X-ray diffraction pattern of Cs2ScCuCl6. It was derived from a DFT-relaxed cell (PBE, the Materials Project), using Cu Ka.
No peak broadening, texture or thermal motion is included.

Structural model:
```
data_Cs2ScCuCl6
_chemical_formula_sum 'Cs2 Sc1 Cu1 Cl6'
_space_group_name_H-M_alt 'P 1'
_space_group_IT_number 1
_cell_length_a 7.285
_cell_length_b 7.285
_cell_length_c 7.285
_cell_angle_alpha 60.00
_cell_angle_beta 60.00
_cell_angle_gamma 60.00
loop_
_space_group_symop_operation_xyz
'x,y,z'
loop_
_atom_site_label
_atom_site_type_symbol
_atom_site_fract_x
_atom_site_fract_y
_atom_site_fract_z
Cs1 Cs 0.250 0.250 0.250
Cs2 Cs 0.750 0.750 0.750
Sc1 Sc 0.000 0.000 0.000
Cu1 Cu 0.500 0.500 0.500
Cl1 Cl 0.246 0.246 0.754
Cl2 Cl 0.246 0.754 0.246
Cl3 Cl 0.246 0.754 0.754
Cl4 Cl 0.754 0.246 0.246
Cl5 Cl 0.754 0.246 0.754
Cl6 Cl 0.754 0.754 0.246
```

Main lines, sorted by position (2θ = 10–90°):
two_theta	I (rel.)
24.4	100
30.0	58
34.8	76
43.0	45
50.1	50
56.5	20
59.5	22
62.5	17
68.1	23
78.8	11
81.4	9
84.0	21